The following is a theoretical PXRD pattern of LaDy7Tl4. It was derived from a structure optimized by DFT (GGA-PBE), using λ = 1.5418 Å (Cu Kα).
Lines closer than 0.1° are merged.

Cell and atoms:
Cell lengths 7.8829, 7.8829, 10.3539 Å; angles 120.52, 120.52, 42.70 degrees
Sites, in units of the cell vectors:
1 La 0.0000 0.0000 0.0000
2 Dy 0.0633 0.0633 0.3991
3 Dy 0.2082 0.2082 0.8776
4 Dy 0.2755 0.2755 0.3374
5 Dy 0.5000 0.5000 0.0000
6 Dy 0.7245 0.7245 0.6626
7 Dy 0.7918 0.7918 0.1224
8 Dy 0.9367 0.9367 0.6009
9 Tl 0.3143 0.3143 0.6675
10 Tl 0.4385 0.4385 0.2477
11 Tl 0.5615 0.5615 0.7523
12 Tl 0.6857 0.6857 0.3325

Principal peaks in the range 2θ from 10° to 80°, most intense first:
2θ/deg  Rel. int.
31.2  100
35.6  86
28.6  54
32.7  53
29.7  46
42.8  37
36.1  33
30.6  28
31.0  19
30.9  19



The following is a theoretical PXRD pattern of La3Dy2Tl6. It was derived from a structure optimized by DFT (GGA-PBE), using λ = 1.5418 Å (Cu Kα).
Lines closer than 0.1° are merged.

Cell and atoms:
Cell lengths 14.9265, 14.9265, 14.9265 Å; angles 160.94, 160.94, 27.08 degrees
Sites, in units of the cell vectors:
1 La 0.0000 0.0000 0.0000
2 La 0.1972 0.1972 0.0000
3 La 0.8028 0.8028 0.0000
4 Dy 0.4449 0.4449 0.0000
5 Dy 0.5551 0.5551 0.0000
6 Tl 0.1155 0.6155 0.5000
7 Tl 0.3091 0.3091 0.0000
8 Tl 0.3845 0.8845 0.5000
9 Tl 0.6155 0.1155 0.5000
10 Tl 0.6909 0.6909 0.0000
11 Tl 0.8845 0.3845 0.5000

Principal peaks in the range 2θ from 10° to 80°, most intense first:
2θ/deg  Rel. int.
35.7  100
28.3  92
36.4  78
65.0  36
12.2  31
52.4  28
31.6  23
60.6  22
63.6  22
33.2  18



The following is a theoretical PXRD pattern of La3Dy3Tl2. It was derived from a structure optimized by DFT (GGA-PBE), using λ = 1.5418 Å (Cu Kα).
Lines closer than 0.1° are merged.

Cell and atoms:
Cell lengths 6.5902, 6.5902, 16.8925 Å; angles 90.00, 90.00, 133.72 degrees
Sites, in units of the cell vectors:
1 La 0.0486 0.9514 0.6047
2 La 0.0486 0.9514 0.8953
3 La 0.2922 0.7078 0.7500
4 La 0.7078 0.2922 0.2500
5 La 0.9514 0.0486 0.1047
6 La 0.9514 0.0486 0.3953
7 Dy 0.3661 0.6339 0.5428
8 Dy 0.3661 0.6339 0.9572
9 Dy 0.4263 0.5737 0.2500
10 Dy 0.5737 0.4263 0.7500
11 Dy 0.6339 0.3661 0.0428
12 Dy 0.6339 0.3661 0.4572
13 Tl 0.2377 0.7623 0.1205
14 Tl 0.2377 0.7623 0.3795
15 Tl 0.7623 0.2377 0.6205
16 Tl 0.7623 0.2377 0.8795

Principal peaks in the range 2θ from 10° to 80°, most intense first:
2θ/deg  Rel. int.
32.3  100
28.2  53
34.6  44
32.5  34
30.0  28
60.6  17
36.5  16
28.0  15
46.4  13
60.7  12



The following is a theoretical PXRD pattern of La2Dy3Tl4. It was derived from a structure optimized by DFT (GGA-PBE), using λ = 1.5418 Å (Cu Kα).
Lines closer than 0.1° are merged.

Cell and atoms:
Cell lengths 5.3641, 5.3641, 10.9124 Å; angles 90.04, 90.04, 60.03 degrees
Sites, in units of the cell vectors:
1 La 0.1667 0.1667 0.2797
2 La 0.8333 0.8333 0.7203
3 Dy 0.1667 0.1667 0.9263
4 Dy 0.5000 0.5000 0.5000
5 Dy 0.8333 0.8333 0.0737
6 Tl 0.1666 0.1666 0.6017
7 Tl 0.4999 0.4999 0.1469
8 Tl 0.5001 0.5001 0.8531
9 Tl 0.8334 0.8334 0.3983

Principal peaks in the range 2θ from 10° to 80°, most intense first:
2θ/deg  Rel. int.
31.2  100
33.4  89
58.4  34
46.4  34
54.2  19
59.7  17
75.2  14
70.2  11
65.1  10
78.8  10



The following is a theoretical PXRD pattern of La3DyTm8. It was derived from a structure optimized by DFT (GGA-PBE), using λ = 1.5418 Å (Cu Kα).
Lines closer than 0.1° are merged.

Cell and atoms:
Cell lengths 8.6678, 8.6678, 8.6678 Å; angles 136.78, 97.82, 97.77 degrees
Sites, in units of the cell vectors:
1 La 0.0000 0.0000 0.0000
2 La 0.2534 0.5000 0.7534
3 La 0.7466 0.5000 0.2466
4 Dy 0.5000 0.0000 0.5000
5 Tm 0.0785 0.8275 0.2510
6 Tm 0.2555 0.0074 0.7519
7 Tm 0.2555 0.5036 0.2481
8 Tm 0.4235 0.1725 0.2510
9 Tm 0.5765 0.8275 0.7490
10 Tm 0.7445 0.4964 0.7519
11 Tm 0.7445 0.9926 0.2481
12 Tm 0.9215 0.1725 0.7490

Principal peaks in the range 2θ from 10° to 80°, most intense first:
2θ/deg  Rel. int.
31.6  100
32.1  77
31.4  76
35.9  53
56.4  34
65.9  29
35.2  27
51.8  25
45.5  21
15.5  20



The following is a theoretical PXRD pattern of La4DyTm4. It was derived from a structure optimized by DFT (GGA-PBE), using λ = 1.5418 Å (Cu Kα).
Lines closer than 0.1° are merged.

Cell and atoms:
Cell lengths 8.0656, 8.0656, 8.0656 Å; angles 95.82, 95.82, 142.86 degrees
Sites, in units of the cell vectors:
1 La 0.0000 0.3302 0.3302
2 La 0.0000 0.6698 0.6698
3 La 0.3302 0.0000 0.3302
4 La 0.6698 0.0000 0.6698
5 Dy 0.0000 0.0000 0.0000
6 Tm 0.3361 0.3361 0.6721
7 Tm 0.3361 0.6639 0.0000
8 Tm 0.6639 0.3361 0.0000
9 Tm 0.6639 0.6639 0.3279

Principal peaks in the range 2θ from 10° to 80°, most intense first:
2θ/deg  Rel. int.
30.3  100
35.2  33
60.2  28
50.4  24
34.9  17
59.8  15
63.0  12
50.7  12
74.5  4
73.8  2



The following is a theoretical PXRD pattern of La2DyTm5. It was derived from a structure optimized by DFT (GGA-PBE), using λ = 1.5418 Å (Cu Kα).
Lines closer than 0.1° are merged.

Cell and atoms:
Cell lengths 7.1126, 7.1126, 7.1126 Å; angles 119.55, 119.55, 90.77 degrees
Sites, in units of the cell vectors:
1 La 0.2503 0.2503 0.0000
2 La 0.7497 0.7497 0.0000
3 Dy 0.7500 0.2500 0.5000
4 Tm 0.2498 0.2498 0.4995
5 Tm 0.2498 0.7502 0.0000
6 Tm 0.2500 0.7500 0.5000
7 Tm 0.7502 0.2498 0.0000
8 Tm 0.7502 0.7502 0.5005

Principal peaks in the range 2θ from 10° to 80°, most intense first:
2θ/deg  Rel. int.
30.7  100
35.5  34
60.7  29
51.4  24
36.0  16
61.4  14
64.0  12
51.0  12
75.0  4
76.2  2



The following is a theoretical PXRD pattern of LaDy5Tm2. It was derived from a structure optimized by DFT (GGA-PBE), using λ = 1.5418 Å (Cu Kα).
Lines closer than 0.1° are merged.

Cell and atoms:
Cell lengths 7.1227, 14.2479, 5.0121 Å; angles 90.00, 90.00, 90.00 degrees
Sites, in units of the cell vectors:
1 La 0.0000 0.0000 0.0000
2 La 0.5000 0.5000 0.0000
3 Dy 0.0000 0.5000 0.0000
4 Dy 0.0019 0.2522 0.0000
5 Dy 0.2471 0.6265 0.5000
6 Dy 0.2529 0.1265 0.5000
7 Dy 0.4981 0.7522 0.0000
8 Dy 0.5000 0.0000 0.0000
9 Dy 0.5019 0.2478 0.0000
10 Dy 0.7471 0.8735 0.5000
11 Dy 0.7529 0.3735 0.5000
12 Dy 0.9981 0.7478 0.0000
13 Tm 0.2501 0.3735 0.5000
14 Tm 0.2499 0.8735 0.5000
15 Tm 0.7501 0.1265 0.5000
16 Tm 0.7499 0.6265 0.5000

Principal peaks in the range 2θ from 10° to 80°, most intense first:
2θ/deg  Rel. int.
30.8  100
35.6  34
61.0  29
51.4  24
35.8  17
61.3  14
64.2  12
51.3  12
75.5  4
75.9  2



The following is a theoretical PXRD pattern of La3DyTm7. It was derived from a structure optimized by DFT (GGA-PBE), using λ = 1.5418 Å (Cu Kα).
Lines closer than 0.1° are merged.

Cell and atoms:
Cell lengths 7.0289, 7.0289, 8.7137 Å; angles 90.00, 90.00, 120.00 degrees
Sites, in units of the cell vectors:
1 La 0.9996 0.4998 0.0000
2 La 0.5002 0.0004 0.0000
3 La 0.5002 0.4998 0.0000
4 Dy 0.3333 0.6667 0.3410
5 Tm 0.1671 0.3342 0.6594
6 Tm 0.1671 0.8329 0.6594
7 Tm 0.3344 0.1672 0.3418
8 Tm 0.6658 0.8329 0.6594
9 Tm 0.6667 0.3333 0.6592
10 Tm 0.8328 0.1672 0.3418
11 Tm 0.8328 0.6656 0.3418

Principal peaks in the range 2θ from 10° to 80°, most intense first:
2θ/deg  Rel. int.
31.1  100
36.0  70
30.8  33
61.7  28
52.0  24
51.6  23
61.3  15
61.9  14
10.2  14
64.9  13



The following is a theoretical PXRD pattern of La6Dy2Tm3. It was derived from a structure optimized by DFT (GGA-PBE), using λ = 1.5418 Å (Cu Kα).
Lines closer than 0.1° are merged.

Cell and atoms:
Cell lengths 6.2956, 8.1048, 8.1486 Å; angles 107.07, 97.28, 105.03 degrees
Sites, in units of the cell vectors:
1 La 0.0484 0.1812 0.4093
2 La 0.1361 0.5472 0.2310
3 La 0.3220 0.2707 0.8659
4 La 0.6780 0.7293 0.1341
5 La 0.8639 0.4528 0.7690
6 La 0.9516 0.8188 0.5907
7 Dy 0.2304 0.9121 0.0483
8 Dy 0.7696 0.0879 0.9517
9 Tm 0.4099 0.6401 0.6830
10 Tm 0.5000 0.0000 0.5000
11 Tm 0.5901 0.3599 0.3170

Principal peaks in the range 2θ from 10° to 80°, most intense first:
2θ/deg  Rel. int.
30.1  100
34.8  45
29.9  34
59.6  24
34.9  23
50.0  16
59.8  14
59.4  10
62.6  8
50.2  8



The following is a theoretical PXRD pattern of La2Dy4Tm3. It was derived from a structure optimized by DFT (GGA-PBE), using λ = 1.5418 Å (Cu Kα).
Lines closer than 0.1° are merged.

Cell and atoms:
Cell lengths 3.5925, 3.5925, 26.3699 Å; angles 90.00, 90.00, 120.00 degrees
Sites, in units of the cell vectors:
1 La 0.0000 0.0000 0.0000
2 La 0.0000 0.0000 0.2223
3 Dy 0.0000 0.0000 0.3570
4 Dy 0.0000 0.0000 0.5671
5 Dy 0.3333 0.6667 0.6746
6 Dy 0.3333 0.6667 0.8856
7 Tm 0.0000 0.0000 0.7806
8 Tm 0.3333 0.6667 0.1134
9 Tm 0.3333 0.6667 0.4608

Principal peaks in the range 2θ from 10° to 80°, most intense first:
2θ/deg  Rel. int.
33.4  100
31.8  47
30.5  46
28.7  40
60.5  35
50.8  35
57.2  29
42.4  23
62.2  17
80.0  11



The following is a theoretical PXRD pattern of La2Dy4Tm3. It was derived from a structure optimized by DFT (GGA-PBE), using λ = 1.5418 Å (Cu Kα).
Lines closer than 0.1° are merged.

Cell and atoms:
Cell lengths 10.0873, 8.5382, 6.8896 Å; angles 80.90, 56.70, 42.41 degrees
Sites, in units of the cell vectors:
1 La 0.1154 0.1154 0.8846
2 La 0.8846 0.8846 0.1154
3 Dy 0.1683 0.4574 0.5426
4 Dy 0.4574 0.1683 0.8317
5 Dy 0.5426 0.8317 0.1683
6 Dy 0.8317 0.5426 0.4574
7 Tm 0.0000 0.0000 0.5000
8 Tm 0.5000 0.5000 0.0000
9 Tm 0.5000 0.5000 0.5000

Principal peaks in the range 2θ from 10° to 80°, most intense first:
2θ/deg  Rel. int.
31.1  100
32.5  45
34.7  26
26.7  20
54.8  15
32.7  14
53.1  14
31.4  14
29.3  14
53.7  13



Repeat the sixth record exactly.
The following is a theoretical PXRD pattern of La4DyTm4. It was derived from a structure optimized by DFT (GGA-PBE), using λ = 1.5418 Å (Cu Kα).
Lines closer than 0.1° are merged.

Cell and atoms:
Cell lengths 8.0656, 8.0656, 8.0656 Å; angles 95.82, 95.82, 142.86 degrees
Sites, in units of the cell vectors:
1 La 0.0000 0.3302 0.3302
2 La 0.0000 0.6698 0.6698
3 La 0.3302 0.0000 0.3302
4 La 0.6698 0.0000 0.6698
5 Dy 0.0000 0.0000 0.0000
6 Tm 0.3361 0.3361 0.6721
7 Tm 0.3361 0.6639 0.0000
8 Tm 0.6639 0.3361 0.0000
9 Tm 0.6639 0.6639 0.3279

Principal peaks in the range 2θ from 10° to 80°, most intense first:
2θ/deg  Rel. int.
30.3  100
35.2  33
60.2  28
50.4  24
34.9  17
59.8  15
63.0  12
50.7  12
74.5  4
73.8  2